Structure and theoretical powder diffractogram of BeCoF (a cell relaxed with GGA+U; Cu Ka).

Structural model:
a = 2.6781 Å, b = 9.9982 Å, c = 2.4631 Å
α = 90.00°, β = 90.00°, γ = 90.00°
Fractional coordinates of all 6 atoms:
1 Be 0.0000 0.2416 0.0000
2 Be 0.5000 0.7584 0.5000
3 Co 0.0000 0.5908 0.0099
4 Co 0.5000 0.4092 0.5099
5 F 0.0000 0.1445 0.4994
6 F 0.5000 0.8555 0.9994

Largest 12 diffraction maxima, in order of falling intensity, 5° ≤ 2θ ≤ 70°:
2theta	I (rel.)	hkl
8.8	100	0 1 0
38.1	23	1 2 0
45.8	13	0 3 1
51.2	13	1 1 1
43.3	9	1 3 0
37.6	7	0 1 1
35.9	6	0 4 0
40.8	5	0 2 1
52.1	4	0 4 1
50.3	4	1 0 1
45.4	4	0 5 0
17.7	2	0 2 0